Starting from a crystal structure in the Materials Project, relaxed with GGA+U, the powder XRD pattern of Li4Co3SbO8 was computed for copper Kα.
Kinematic intensities with the Lorentz-polarization factor, no thermal factor.

Structural model:
Cell: 5.999 5.999 6.023 Å, 119.57 119.57 60.89°
Element x y z (fractional)
Li 0.000 0.000 0.000
Li 0.000 0.500 0.500
Li 0.500 0.000 0.500
Li 0.500 0.500 0.000
Co 0.000 0.000 0.500
Co 0.000 0.500 0.000
Co 0.500 0.000 0.000
Sb 0.500 0.500 0.500
O 0.227 0.227 0.739
O 0.259 0.736 0.733
O 0.263 0.263 0.257
O 0.264 0.741 0.267
O 0.736 0.259 0.733
O 0.737 0.737 0.743
O 0.741 0.264 0.267
O 0.773 0.773 0.261

Peak list (10 most intense, 2θ = 10–90°, by intensity)
2θ (°)  Rel. int.
18.17  100
42.25  49
34.65  34
42.65  23
36.37  22
34.90  16
61.30  14
17.96  14
61.88  13
46.52  12

Starting from a crystal structure in the Materials Project, relaxed with GGA+U, the powder XRD pattern of RbAlVP2O10 was computed for copper Kα.
Kinematic intensities with the Lorentz-polarization factor, no thermal factor.

Structural model:
Cell: 7.917 8.294 14.359 Å, 90.00 107.42 90.00°
Element x y z (fractional)
Rb 0.184 0.029 0.301
Rb 0.184 0.471 0.801
Rb 0.816 0.529 0.199
Rb 0.816 0.971 0.699
Al 0.215 0.037 0.965
Al 0.215 0.463 0.465
Al 0.785 0.537 0.535
Al 0.785 0.963 0.035
V 0.300 0.549 0.136
V 0.300 0.951 0.636
V 0.700 0.049 0.364
V 0.700 0.451 0.864
P 0.007 0.227 0.541
P 0.007 0.273 0.041
P 0.496 0.104 0.851
P 0.496 0.396 0.351
P 0.504 0.604 0.649
P 0.504 0.896 0.149
P 0.993 0.727 0.959
P 0.993 0.773 0.459
O 0.057 0.617 0.419
O 0.057 0.883 0.919
O 0.103 0.221 0.966
O 0.103 0.279 0.466
O 0.130 0.137 0.630
O 0.130 0.363 0.130
O 0.154 0.617 0.006
O 0.154 0.883 0.506
O 0.205 0.669 0.199
O 0.205 0.831 0.699
O 0.330 0.055 0.880
O 0.330 0.445 0.380
O 0.341 0.513 0.584
O 0.341 0.987 0.084
O 0.429 0.075 0.564
O 0.429 0.425 0.064
O 0.472 0.056 0.744
O 0.472 0.444 0.244
O 0.482 0.713 0.136
O 0.482 0.787 0.636
O 0.518 0.213 0.364
O 0.518 0.287 0.864
O 0.528 0.556 0.756
O 0.528 0.944 0.256
O 0.571 0.575 0.936
O 0.571 0.925 0.436
O 0.659 0.013 0.916
O 0.659 0.487 0.416
O 0.670 0.555 0.620
O 0.670 0.945 0.120
O 0.795 0.169 0.301
O 0.795 0.331 0.801
O 0.846 0.117 0.494
O 0.846 0.383 0.994
O 0.870 0.637 0.870
O 0.870 0.863 0.370
O 0.897 0.721 0.534
O 0.897 0.779 0.034
O 0.943 0.117 0.081
O 0.943 0.383 0.581

Peak list (10 most intense, 2θ = 10–90°, by intensity)
2θ (°)  Rel. int.
27.88  100
22.23  45
21.43  41
25.12  36
32.05  28
24.93  27
14.63  19
34.48  19
18.14  18
22.66  17

Starting from a crystal structure in the Materials Project, relaxed with GGA+U, the powder XRD pattern of V3OF11 was computed for copper Kα.
Kinematic intensities with the Lorentz-polarization factor, no thermal factor.

Structural model:
Cell: 5.429 5.990 7.326 Å, 94.55 99.25 97.52°
Element x y z (fractional)
V 0.000 0.000 0.000
V 0.148 0.395 0.662
V 0.818 0.658 0.432
O 0.005 0.869 0.726
F 0.110 0.233 0.930
F 0.122 0.570 0.422
F 0.255 0.575 0.918
F 0.264 0.993 0.184
F 0.409 0.315 0.591
F 0.587 0.775 0.512
F 0.698 0.471 0.193
F 0.725 0.070 0.987
F 0.833 0.506 0.686
F 0.883 0.806 0.172
F 0.981 0.205 0.441

Peak list (10 most intense, 2θ = 10–90°, by intensity)
2θ (°)  Rel. int.
20.41  100
16.72  96
25.02  60
20.82  27
31.54  24
23.54  19
37.36  18
18.43  18
35.02  17
22.49  15

Starting from a crystal structure in the Materials Project, relaxed with GGA+U, the powder XRD pattern of KNiPH2O5 was computed for copper Kα.
Kinematic intensities with the Lorentz-polarization factor, no thermal factor.

Structural model:
Cell: 5.610 8.361 4.771 Å, 90.00 90.00 90.00°
Element x y z (fractional)
K 0.000 0.043 0.000
K 0.500 0.957 0.500
Ni 0.000 0.483 0.874
Ni 0.500 0.517 0.374
P 0.000 0.709 0.447
P 0.500 0.291 0.947
H 0.140 0.309 0.455
H 0.360 0.691 0.955
H 0.640 0.691 0.955
H 0.860 0.309 0.455
O 0.000 0.292 0.577
O 0.000 0.678 0.129
O 0.000 0.889 0.506
O 0.221 0.624 0.593
O 0.279 0.376 0.093
O 0.500 0.111 0.006
O 0.500 0.322 0.629
O 0.500 0.708 0.077
O 0.721 0.376 0.093
O 0.779 0.624 0.593

Peak list (10 most intense, 2θ = 10–90°, by intensity)
2θ (°)  Rel. int.
32.65  100
10.58  84
31.90  43
21.44  27
26.75  21
50.36  19
57.32  17
43.23  16
51.46  15
40.80  14

Starting from a crystal structure in the Materials Project, relaxed with GGA+U, the powder XRD pattern of MnP2O7 was computed for copper Kα.
Kinematic intensities with the Lorentz-polarization factor, no thermal factor.

Structural model:
Cell: 7.130 7.838 9.412 Å, 90.00 113.06 90.00°
Element x y z (fractional)
Mn 0.000 0.000 0.000
Mn 0.000 0.500 0.500
Mn 0.500 0.000 0.500
Mn 0.500 0.500 0.000
P 0.069 0.178 0.319
P 0.069 0.322 0.819
P 0.343 0.748 0.206
P 0.343 0.752 0.706
P 0.657 0.248 0.294
P 0.657 0.252 0.794
P 0.931 0.678 0.181
P 0.931 0.822 0.681
O 0.061 0.180 0.154
O 0.061 0.320 0.654
O 0.112 0.139 0.884
O 0.112 0.361 0.384
O 0.152 0.625 0.186
O 0.152 0.875 0.686
O 0.210 0.042 0.424
O 0.210 0.458 0.924
O 0.264 0.598 0.599
O 0.264 0.902 0.099
O 0.449 0.705 0.877
O 0.449 0.795 0.377
O 0.490 0.637 0.166
O 0.490 0.863 0.666
O 0.510 0.137 0.334
O 0.510 0.363 0.834
O 0.551 0.205 0.623
O 0.551 0.295 0.123
O 0.736 0.098 0.901
O 0.736 0.402 0.401
O 0.790 0.542 0.076
O 0.790 0.958 0.576
O 0.848 0.125 0.314
O 0.848 0.375 0.814
O 0.888 0.639 0.616
O 0.888 0.861 0.116
O 0.939 0.680 0.346
O 0.939 0.820 0.846

Peak list (10 most intense, 2θ = 10–90°, by intensity)
2θ (°)  Rel. int.
17.53  100
30.76  81
29.52  31
22.96  28
23.47  28
27.18  17
22.72  14
24.94  14
40.04  14
29.27  13

Starting from a crystal structure in the Materials Project, relaxed with GGA+U, the powder XRD pattern of Mn3CoNi2P6O24 was computed for copper Kα.
Kinematic intensities with the Lorentz-polarization factor, no thermal factor.

Structural model:
Cell: 8.412 8.412 8.412 Å, 61.18 61.18 61.18°
Element x y z (fractional)
Mn 0.000 0.000 0.000
Mn 0.217 0.217 0.217
Mn 0.501 0.501 0.501
Co 0.715 0.715 0.715
Ni 0.359 0.359 0.359
Ni 0.856 0.856 0.856
P 0.108 0.818 0.401
P 0.314 0.608 0.902
P 0.401 0.108 0.818
P 0.608 0.902 0.314
P 0.818 0.401 0.108
P 0.902 0.314 0.608
O 0.046 0.849 0.242
O 0.103 0.301 0.443
O 0.113 0.768 0.919
O 0.171 0.979 0.364
O 0.242 0.046 0.849
O 0.272 0.619 0.412
O 0.301 0.443 0.103
O 0.346 0.545 0.744
O 0.364 0.171 0.979
O 0.412 0.272 0.619
O 0.443 0.103 0.301
O 0.472 0.671 0.871
O 0.545 0.744 0.346
O 0.600 0.948 0.802
O 0.619 0.412 0.272
O 0.671 0.871 0.472
O 0.744 0.346 0.545
O 0.768 0.919 0.113
O 0.802 0.600 0.948
O 0.849 0.242 0.046
O 0.871 0.472 0.671
O 0.919 0.113 0.768
O 0.948 0.802 0.600
O 0.979 0.364 0.171

Peak list (10 most intense, 2θ = 10–90°, by intensity)
2θ (°)  Rel. int.
24.57  100
20.75  98
33.64  72
36.35  43
48.23  37
50.36  27
56.91  26
63.69  22
25.56  20
57.56  18